Diffraction record for Li4MnCo2NiO8. The X-ray powder pattern is simulated, not measured: it uses DFT lattice parameters and positions (GGA+U) and Cu Kα (λ = 1.5418 Å).

Cell and atoms:
```
data_Li4MnCo2NiO8
_cell_length_a 5.1463
_cell_length_b 2.9435
_cell_length_c 9.7652
_cell_angle_alpha 90.00
_cell_angle_beta 101.03
_cell_angle_gamma 90.00
_space_group_name_H-M_alt 'P 1 2/m 1'
_space_group_IT_number 10
loop_
_space_group_symop_operation_xyz
'x,y,z'
'-x,-y,-z'
'-x,y,-z'
'x,-y,z'
loop_
_atom_site_label
_atom_site_fract_x
_atom_site_fract_y
_atom_site_fract_z
Li1 0.0000 0.0000 0.0000
Li2 0.2489 0.5000 0.2606
Li3 0.5000 0.0000 0.5000
Mn1 0.5000 0.5000 0.0000
Co1 0.2387 0.0000 0.7397
Ni1 0.0000 0.5000 0.5000
O1 0.0984 0.0000 0.3696
O2 0.1568 0.5000 0.8790
O3 0.3761 0.5000 0.6334
O4 0.3977 0.0000 0.1127
```

Main lines, in order of falling intensity (10 to 80 degrees two-theta):
2θ/deg	I/Imax	hkl
18.2	100	1 0 -1
43.3	51	1 1 -3
35.8	28	0 1 2
43.6	24	2 0 2
47.4	15	1 0 -5
37.5	14	1 1 1

***

Diffraction record for V3OF11. The X-ray powder pattern is simulated, not measured: it uses DFT lattice parameters and positions (GGA+U) and Cu Kα (λ = 1.5418 Å).

Cell and atoms:
```
data_V3OF11
_cell_length_a 14.7563
_cell_length_b 5.2550
_cell_length_c 5.4571
_cell_angle_alpha 90.00
_cell_angle_beta 100.37
_cell_angle_gamma 90.00
_space_group_name_H-M_alt 'P 1 c 1'
_space_group_IT_number 7
loop_
_space_group_symop_operation_xyz
'x,y,z'
'x,-y,z+1/2'
loop_
_atom_site_label
_atom_site_fract_x
_atom_site_fract_y
_atom_site_fract_z
V1 0.0000 0.2294 0.0000
V2 0.3358 0.2501 0.7163
V3 0.6692 0.2500 0.3827
O1 0.9800 0.0300 0.7603
F1 0.0257 0.4737 0.3513
F2 0.1189 0.1786 0.1130
F3 0.2184 0.3361 0.6766
F4 0.3110 0.0546 0.4039
F5 0.3608 0.4457 0.0293
F6 0.4532 0.1621 0.7577
F7 0.5520 0.3377 0.3419
F8 0.6443 0.0544 0.0703
F9 0.6944 0.4458 0.6954
F10 0.7867 0.1614 0.4245
F11 0.8872 0.3367 0.0184
```

Main lines, in order of falling intensity (10 to 80 degrees two-theta):
2θ/deg	I/Imax	hkl
25.3	100	1 1 1
18.3	56	3 0 0
48.1	16	1 2 -2
54.2	12	0 1 3
39.2	11	2 2 -1
53.2	10	8 1 -1

***

Diffraction record for Li9Mn7O16. The X-ray powder pattern is simulated, not measured: it uses DFT lattice parameters and positions (GGA+U) and Cu Kα (λ = 1.5418 Å).

Cell and atoms:
```
data_Li9Mn7O16
_cell_length_a 5.1004
_cell_length_b 6.0759
_cell_length_c 10.1239
_cell_angle_alpha 103.23
_cell_angle_beta 101.02
_cell_angle_gamma 91.84
_space_group_name_H-M_alt 'P -1'
_space_group_IT_number 2
loop_
_space_group_symop_operation_xyz
'x,y,z'
'-x,-y,-z'
loop_
_atom_site_label
_atom_site_fract_x
_atom_site_fract_y
_atom_site_fract_z
Li1 0.0000 0.0000 0.0000
Li2 0.0000 0.0000 0.5000
Li3 0.0000 0.5000 0.0000
Li4 0.2431 0.3812 0.2534
Li5 0.2523 0.8702 0.2502
Li6 0.4898 0.2396 0.5012
Mn1 0.0000 0.5000 0.5000
Mn2 0.2499 0.3617 0.7444
Mn3 0.2522 0.8691 0.7446
Mn4 0.4967 0.2504 0.0004
O1 0.0918 0.2195 0.3815
O2 0.0997 0.6740 0.3741
O3 0.1396 0.1988 0.8759
O4 0.1534 0.6854 0.8709
O5 0.3538 0.5383 0.6191
O6 0.3687 0.0616 0.6363
O7 0.3907 0.0804 0.1260
O8 0.3981 0.5814 0.1281
```

Main lines, in order of falling intensity (10 to 80 degrees two-theta):
2θ/deg	I/Imax	hkl
18.3	100	1 0 -1
44.1	55	2 0 2
40.8	35	-1 2 2
33.9	18	0 2 1
36.1	12	0 2 -3
36.2	12	1 0 3

***

Diffraction record for MgMn6O8F4. The X-ray powder pattern is simulated, not measured: it uses DFT lattice parameters and positions (GGA+U) and Cu Kα (λ = 1.5418 Å).

Cell and atoms:
```
data_MgMn6O8F4
_cell_length_a 5.7593
_cell_length_b 5.9607
_cell_length_c 7.0658
_cell_angle_alpha 73.37
_cell_angle_beta 74.67
_cell_angle_gamma 82.61
_space_group_name_H-M_alt 'P 1'
_space_group_IT_number 1
loop_
_space_group_symop_operation_xyz
'x,y,z'
loop_
_atom_site_label
_atom_site_fract_x
_atom_site_fract_y
_atom_site_fract_z
Mg1 0.0000 0.0000 0.0000
Mn1 0.3743 0.7812 0.1861
Mn2 0.3799 0.7925 0.6625
Mn3 0.6184 0.2053 0.3381
Mn4 0.6247 0.2167 0.8143
Mn5 0.9983 0.5002 0.0002
Mn6 0.9990 0.4995 0.5000
O1 0.1162 0.5890 0.7079
O2 0.2414 0.7263 0.9665
O3 0.3330 0.4763 0.3457
O4 0.4372 0.9257 0.3743
O5 0.5616 0.0719 0.6263
O6 0.6651 0.5218 0.6547
O7 0.7571 0.2724 0.0338
O8 0.8815 0.4097 0.2926
F1 0.0210 0.1334 0.7051
F2 0.2862 0.1503 0.0147
F3 0.7140 0.8473 0.9863
F4 0.9778 0.8654 0.2951
```

Main lines, in order of falling intensity (10 to 80 degrees two-theta):
2θ/deg	I/Imax	hkl
23.0	100	1 -1 0
27.9	78	1 1 2
34.9	44	1 0 -2
48.6	29	-2 1 2
34.5	27	1 2 0
35.2	20	2 1 0

***

Diffraction record for Li2Fe4O7. The X-ray powder pattern is simulated, not measured: it uses DFT lattice parameters and positions (GGA+U) and Cu Kα (λ = 1.5418 Å).

Cell and atoms:
```
data_Li2Fe4O7
_cell_length_a 5.2251
_cell_length_b 5.2251
_cell_length_c 6.6432
_cell_angle_alpha 90.00
_cell_angle_beta 90.00
_cell_angle_gamma 120.00
_space_group_name_H-M_alt 'P -3 1 m'
_space_group_IT_number 162
_space_group_name_Hall '-P 3 2'
loop_
_atom_site_label
_atom_site_fract_x
_atom_site_fract_y
_atom_site_fract_z
Li1 0.3333 0.6667 0.0000
Fe1 0.0000 0.0000 0.2732
Fe2 0.3333 0.6667 0.5000
O1 0.0000 0.0000 0.0000
O2 0.0000 0.3628 0.6791
```

Main lines, in order of falling intensity (10 to 80 degrees two-theta):
2θ/deg	I/Imax	hkl
13.3	100	0 0 1
33.5	63	1 0 2
34.3	57	1 1 0
37.0	27	2 -1 1
48.7	27	2 0 2
23.8	23	1 0 1

***

Diffraction record for MnSiO3. The X-ray powder pattern is simulated, not measured: it uses DFT lattice parameters and positions (GGA+U) and Cu Kα (λ = 1.5418 Å).

Cell and atoms:
```
data_MnSiO3
_cell_length_a 10.0904
_cell_length_b 9.3430
_cell_length_c 5.4357
_cell_angle_alpha 90.00
_cell_angle_beta 109.64
_cell_angle_gamma 90.00
_space_group_name_H-M_alt 'C 1 2/c 1'
_space_group_IT_number 15
loop_
_space_group_symop_operation_xyz
'x,y,z'
'-x,-y,-z'
'-x,y,-z+1/2'
'x,-y,z+1/2'
'x+1/2,y+1/2,z'
'-x+1/2,-y+1/2,-z'
'-x+1/2,y+1/2,-z+1/2'
'x+1/2,-y+1/2,z+1/2'
loop_
_atom_site_label
_atom_site_fract_x
_atom_site_fract_y
_atom_site_fract_z
Mn1 0.0000 0.1017 0.2500
Mn2 0.0000 0.2606 0.7500
Si1 0.2039 0.4137 0.2287
O1 0.1237 0.0907 0.6612
O2 0.1253 0.2614 0.1420
O3 0.1497 0.4884 0.4556
```

Main lines, in order of falling intensity (10 to 80 degrees two-theta):
2θ/deg	I/Imax	hkl
28.3	100	2 2 -1
33.3	54	1 3 -1
29.8	51	3 1 0
35.1	48	0 0 2
40.3	43	3 3 -1
26.8	41	2 2 0